(1)
Starting from a cell relaxed with PBE, the X-ray diffraction stick pattern of LiH4SNO4 was calculated for Cu Kα (weighted mean of Kα1 and Kα2).

Structural model:
```
data_LiH4SNO4
_chemical_formula_sum 'Li4 H16 S4 N4 O16'
_cell_length_a 8.917
_cell_length_b 9.361
_cell_length_c 5.309
_cell_angle_alpha 90.00
_cell_angle_beta 90.00
_cell_angle_gamma 90.00
_symmetry_space_group_name_H-M 'P n a 21'
_symmetry_Int_Tables_number 33
_symmetry_space_group_name_Hall 'P 2c -2n'
loop_
_atom_site_label
_atom_site_type_symbol
_atom_site_fract_x
_atom_site_fract_y
_atom_site_fract_z
Li1 Li 0.173 0.092 0.000
H1 H 0.008 0.798 0.866
H2 H 0.026 0.274 0.653
H3 H 0.093 0.353 0.391
H4 H 0.097 0.646 0.947
S1 S 0.209 0.920 0.503
N1 N 0.002 0.295 0.467
O1 O 0.044 0.894 0.505
O2 O 0.213 0.291 0.908
O3 O 0.240 0.452 0.266
O4 O 0.245 0.045 0.340
```

Principal peaks in the range 2θ = 10–90°, in order of rising 2θ:
two_theta, I_rel, h k l
19.91, 46, 2 0 0
21.44, 46, 1 2 0
21.67, 100, 1 1 1
27.30, 39, 1 2 1
27.63, 32, 2 2 0
27.81, 34, 2 1 1

***

(2)
Starting from a cell relaxed with PBE, the X-ray diffraction stick pattern of RbLiH4N2 was calculated for Cu Kα (weighted mean of Kα1 and Kα2).

Structural model:
```
data_RbLiH4N2
_chemical_formula_sum 'Rb4 Li4 H16 N8'
_cell_length_a 7.945
_cell_length_b 3.878
_cell_length_c 11.640
_cell_angle_alpha 90.00
_cell_angle_beta 90.00
_cell_angle_gamma 90.00
_symmetry_space_group_name_H-M 'P n m a'
_symmetry_Int_Tables_number 62
_symmetry_space_group_name_Hall '-P 2ac 2n'
loop_
_atom_site_label
_atom_site_type_symbol
_atom_site_fract_x
_atom_site_fract_y
_atom_site_fract_z
Rb1 Rb 0.127 0.250 0.240
Li1 Li 0.114 0.750 0.002
H1 H 0.103 0.045 0.575
H2 H 0.125 0.250 0.823
H3 H 0.236 0.250 0.939
N1 N 0.113 0.250 0.911
N2 N 0.167 0.250 0.611
```

Principal peaks in the range 2θ = 10–90°, in order of rising 2θ:
two_theta, I_rel, h k l
15.22, 58, 0 0 2
23.66, 40, 2 0 1
24.19, 37, 0 1 1
32.25, 100, 2 0 3
32.65, 50, 0 1 3
35.85, 42, 2 1 2

***

(3)
Starting from a cell relaxed with PBE, the X-ray diffraction stick pattern of NaLiH2 was calculated for Cu Kα (weighted mean of Kα1 and Kα2).

Structural model:
```
data_NaLiH2
_chemical_formula_sum 'Na4 Li4 H8'
_cell_length_a 5.829
_cell_length_b 6.835
_cell_length_c 5.155
_cell_angle_alpha 90.00
_cell_angle_beta 90.00
_cell_angle_gamma 90.00
_symmetry_space_group_name_H-M 'P n a 21'
_symmetry_Int_Tables_number 33
_symmetry_space_group_name_Hall 'P 2c -2n'
loop_
_atom_site_label
_atom_site_type_symbol
_atom_site_fract_x
_atom_site_fract_y
_atom_site_fract_z
Na1 Na 0.103 0.121 0.000
Li1 Li 0.070 0.626 0.016
H1 H 0.042 0.599 0.371
H2 H 0.110 0.150 0.443
```

Principal peaks in the range 2θ = 10–90°, in order of rising 2θ:
two_theta, I_rel, h k l
20.02, 43, 1 1 0
21.59, 56, 0 1 1
30.32, 51, 1 2 0
34.81, 48, 0 0 2
35.06, 100, 1 2 1
35.38, 65, 2 0 1

***

(4)
Starting from a cell relaxed with PBE, the X-ray diffraction stick pattern of Na2LiNiH6 was calculated for Cu Kα (weighted mean of Kα1 and Kα2).

Structural model:
```
data_Na2LiNiH6
_chemical_formula_sum 'Na2 Li1 Ni1 H6'
_cell_length_a 4.9833
_cell_length_b 4.9833
_cell_length_c 4.7853
_cell_angle_alpha 90.00
_cell_angle_beta 90.00
_cell_angle_gamma 120.00
_symmetry_space_group_name_H-M 'P -3 m 1'
_symmetry_Int_Tables_number 164
_symmetry_space_group_name_Hall '-P 3 2"'
loop_
_atom_site_label
_atom_site_type_symbol
_atom_site_fract_x
_atom_site_fract_y
_atom_site_fract_z
Na1 Na 0.3333 0.6667 0.1872
Li1 Li 0.0000 0.0000 0.5000
Ni1 Ni 0.0000 0.0000 0.0000
H1 H 0.1472 0.2943 0.8047
```

Principal peaks in the range 2θ = 10–90°, in order of rising 2θ:
two_theta, I_rel, h k l
18.54, 76, 0 0 1
20.58, 65, 1 0 0
27.84, 100, 0 1 1
36.05, 84, 1 1 0
40.83, 52, 1 1 1
43.24, 59, 0 1 2

***

(5)
Starting from a cell relaxed with PBE, the X-ray diffraction stick pattern of Na3LiNi2H8 was calculated for Cu Kα (weighted mean of Kα1 and Kα2).

Structural model:
```
data_Na3LiNi2H8
_chemical_formula_sum 'Na3 Li1 Ni2 H8'
_cell_length_a 4.9439
_cell_length_b 4.9439
_cell_length_c 6.5639
_cell_angle_alpha 90.00
_cell_angle_beta 90.00
_cell_angle_gamma 120.00
_symmetry_space_group_name_H-M 'P -3 m 1'
_symmetry_Int_Tables_number 164
_symmetry_space_group_name_Hall '-P 3 2"'
loop_
_atom_site_label
_atom_site_type_symbol
_atom_site_fract_x
_atom_site_fract_y
_atom_site_fract_z
Na1 Na 0.0000 0.0000 0.0000
Na2 Na 0.3333 0.6667 0.6416
Li1 Li 0.0000 0.0000 0.5000
Ni1 Ni 0.3333 0.6667 0.1941
H1 H 0.1731 0.3462 0.3145
H2 H 0.3333 0.6667 0.9585
```

Principal peaks in the range 2θ = 10–90°, in order of rising 2θ:
two_theta, I_rel, h k l
20.75, 35, 1 0 0
24.83, 71, 0 1 1
34.43, 100, 0 1 2
36.34, 98, 1 1 0
50.93, 34, 2 0 2
64.17, 29, 1 2 2